[1]
Theoretical X-ray diffraction stick pattern
Compound: CaZn2P2O2
Radiation: a wavelength of 1.5418 Å
Structure: DFT lattice parameters and positions (PBE)

Structure:
abc: 4.5040 4.5040 6.9987
angles: 90.00 90.00 120.00
Space group P-3m1 (No. 164)
One atom of each set of equivalent atoms:
Ca  0.0000  0.0000  0.0000
Zn  0.3333  0.6667  0.2523
P  0.3333  0.6667  0.7496
O  0.3333  0.6667  0.5275

The 10 most intense peaks (2θ from 10° to 90°), in order of rising 2θ:
| 2theta | intensity | hkl |
| --- | --- | --- |
| 22.8 | 36 | 1 0 0 |
| 25.5 | 25 | 0 0 2 |
| 26.2 | 64 | 0 1 1 |
| 34.4 | 66 | 0 1 2 |
| 40.0 | 100 | 1 1 0 |
| 45.3 | 18 | 1 0 3 |
| 48.0 | 27 | 1 1 2 |
| 53.8 | 17 | 2 0 2 |
| 67.8 | 35 | 1 1 4 |
| 69.1 | 16 | 1 2 2 |

[2]
Theoretical X-ray diffraction stick pattern
Compound: CaZn2P2O10
Radiation: a wavelength of 1.5418 Å
Structure: DFT lattice parameters and positions (PBE)

Structure:
abc: 17.6218 7.5808 6.7704
angles: 90.00 109.22 90.00
Space group C2/c (No. 15)
One atom of each set of equivalent atoms:
Ca  0.0000  0.1119  0.2500
Zn  0.2139  0.4902  0.4678
P  0.1491  0.1806  0.6702
O  0.0227  0.4396  0.0435
O  0.0734  0.0639  0.6089
O  0.1462  0.2827  0.4675
O  0.1517  0.3005  0.8542
O  0.2269  0.0592  0.7342

The 10 most intense peaks (2θ from 10° to 90°), in order of rising 2θ:
| 2theta | intensity | hkl |
| --- | --- | --- |
| 10.6 | 100 | 2 0 0 |
| 19.8 | 27 | 3 1 0 |
| 20.2 | 20 | 1 1 1 |
| 21.0 | 58 | 3 1 -1 |
| 23.5 | 24 | 0 2 0 |
| 29.3 | 27 | 5 1 0 |
| 31.9 | 72 | 4 2 0 |
| 32.4 | 54 | 1 1 2 |
| 34.0 | 43 | 5 1 -2 |
| 47.0 | 30 | 5 1 2 |

[3]
Theoretical X-ray diffraction stick pattern
Compound: CaPa3O8
Radiation: a wavelength of 1.5418 Å
Structure: DFT lattice parameters and positions (PBE)

Structure:
abc: 7.1302 7.1302 17.3242
angles: 90.00 90.00 120.00
Space group R-3m (No. 166, hexagonal axes)
One atom of each set of equivalent atoms:
Ca  0.0000  0.0000  0.0000
Pa  0.0000  0.5000  0.5000
O  0.0000  0.0000  0.2256
O  0.0655  0.5327  0.7680

The 10 most intense peaks (2θ from 10° to 90°), in order of rising 2θ:
| 2theta | intensity | hkl |
| --- | --- | --- |
| 15.2 | 60 | 1 0 1 |
| 15.3 | 100 | 0 0 3 |
| 29.4 | 71 | 0 2 1 |
| 30.7 | 45 | 2 0 2 |
| 35.7 | 56 | 0 2 4 |
| 39.1 | 21 | 2 0 5 |
| 47.1 | 20 | 0 2 7 |
| 51.3 | 19 | 2 2 0 |
| 51.5 | 18 | 2 0 8 |
| 53.8 | 28 | 2 2 3 |

[4]
Theoretical X-ray diffraction stick pattern
Compound: Ca2Pa2O7
Radiation: a wavelength of 1.5418 Å
Structure: DFT lattice parameters and positions (PBE)

Structure:
abc: 7.3462 8.0731 5.5321
angles: 90.00 90.00 90.00
Space group Cmmm (No. 65)
One atom of each set of equivalent atoms:
Ca  0.2317  0.0000  0.0000
Pa  0.0000  0.2280  0.5000
O  0.0000  0.0000  0.2671
O  0.0000  0.5000  0.5000
O  0.2500  0.2500  0.2603

The 10 most intense peaks (2θ from 10° to 90°), in order of rising 2θ:
| 2theta | intensity | hkl |
| --- | --- | --- |
| 16.0 | 100 | 0 0 1 |
| 22.0 | 43 | 0 2 0 |
| 24.2 | 31 | 2 0 0 |
| 27.4 | 97 | 0 2 1 |
| 29.2 | 99 | 2 0 1 |
| 32.4 | 25 | 0 0 2 |
| 33.0 | 38 | 2 2 0 |
| 36.9 | 38 | 2 2 1 |
| 46.9 | 63 | 2 2 2 |
| 54.5 | 27 | 2 4 1 |